Starting from a crystal structure in Alexandria, relaxed with GGA+U, the powder XRD pattern of PaBeWO6 was simulated for Cu Ka.

Structural model:
a = 4.9842 Å, b = 4.9842 Å, c = 9.7096 Å
α = 90.00°, β = 90.00°, γ = 120.00°
Space group P-31c (No. 163)
Asymmetric unit:
Pa 0.0000 0.0000 0.0000 (multiplicity 2)
Be 0.3333 0.6667 0.2500 (multiplicity 2)
W 0.3333 0.6667 0.7500 (multiplicity 2)
O 0.0149 0.3606 0.1383 (multiplicity 12)

Most intense lines, 2θ = 10–90°, sorted by position:
hkl 1 0 0, 2θ 20.6, I 15; hkl 1 0 1, 2θ 22.5, I 34; hkl 1 0 2, 2θ 27.7, I 100; hkl 1 0 3, 2θ 34.6, I 13; hkl 1 1 0, 2θ 36.0, I 33; hkl 2 0 2, 2θ 46.0, I 25; hkl 1 1 4, 2θ 52.6, I 35; hkl 2 1 2, 2θ 59.8, I 24